Theoretical XRD peak list of VF5 for Cu Kα X-rays, from DFT lattice parameters and positions (GGA+U).
Lines closer than 0.1° are merged.

Top 10 peaks for 10° ≤ 2θ ≤ 90°, sorted by position:
Position (°2θ)  intensity  index
15.30  75  0 2 0
15.62  83  0 0 2
21.93  100  0 2 2
29.98  15  1 1 0
33.98  19  1 1 2
38.18  14  1 3 1
38.46  25  1 1 3
44.08  21  1 1 4
49.65  12  1 3 4
62.43  16  1 3 6

Crystal structure
```
data_VF5
_chemical_formula_sum 'V4 F20'
_cell_length_a 3.0839
_cell_length_b 11.5813
_cell_length_c 11.3451
_cell_angle_alpha 90.00
_cell_angle_beta 90.00
_cell_angle_gamma 90.00
_symmetry_space_group_name_H-M 'C m c m'
_symmetry_Int_Tables_number 63
_symmetry_space_group_name_Hall '-C 2c 2'
loop_
_atom_site_label
_atom_site_fract_x
_atom_site_fract_y
_atom_site_fract_z
V1 0.0000 0.0000 0.0000
F1 0.0000 0.1290 0.0821
F2 0.0000 0.2044 0.7500
F3 0.0000 0.4442 0.0927
```

Theoretical XRD peak list of VF5 for Cu Kα X-rays, from DFT lattice parameters and positions (GGA+U).
Lines closer than 0.1° are merged.

Top 10 peaks for 10° ≤ 2θ ≤ 90°, sorted by position:
Position (°2θ)  intensity  index
16.80  93  0 2 0
17.06  100  1 0 0
21.37  16  1 1 -1
22.38  29  0 2 1
24.03  49  1 2 0
29.62  24  0 0 2
30.41  18  1 0 -2
43.28  24  2 3 0
47.54  17  1 2 -3
59.47  17  1 0 -4

Crystal structure
```
data_VF5
_chemical_formula_sum 'V4 F20'
_cell_length_a 5.3614
_cell_length_b 10.5560
_cell_length_c 6.2217
_cell_angle_alpha 90.00
_cell_angle_beta 104.16
_cell_angle_gamma 90.00
_symmetry_space_group_name_H-M 'P 1 21/c 1'
_symmetry_Int_Tables_number 14
_symmetry_space_group_name_Hall '-P 2ybc'
loop_
_atom_site_label
_atom_site_fract_x
_atom_site_fract_y
_atom_site_fract_z
V1 0.0753 0.0469 0.2659
F1 0.1141 0.0810 0.5870
F2 0.1217 0.0822 0.9710
F3 0.2222 0.6269 0.3007
F4 0.2819 0.1768 0.3177
F5 0.3141 0.5712 0.8116
```

Theoretical XRD peak list of LiCr2O4 for Cu Kα X-rays, from DFT lattice parameters and positions (GGA+U).
Lines closer than 0.1° are merged.

Top 10 peaks for 10° ≤ 2θ ≤ 90°, sorted by position:
Position (°2θ)  intensity  index
18.65  91  0 0 2
19.74  100  1 1 -1
19.90  43  1 1 1
35.83  26  1 3 -2
36.05  25  1 3 2
36.52  44  0 4 1
45.46  32  2 2 -3
45.73  28  0 4 3
46.02  26  2 2 3
63.36  56  2 6 0

Crystal structure
```
data_LiCr2O4
_chemical_formula_sum 'Li8 Cr16 O32'
_cell_length_a 5.8710
_cell_length_b 10.1735
_cell_length_c 9.5155
_cell_angle_alpha 90.00
_cell_angle_beta 90.78
_cell_angle_gamma 90.00
_symmetry_space_group_name_H-M 'C 1 c 1'
_symmetry_Int_Tables_number 9
_symmetry_space_group_name_Hall 'C -2yc'
loop_
_atom_site_label
_atom_site_fract_x
_atom_site_fract_y
_atom_site_fract_z
Li1 0.0000 0.0000 0.0000
Li2 0.4965 0.1659 0.3998
Cr1 0.0021 0.3319 0.4866
Cr2 0.2419 0.4144 0.2185
Cr3 0.2493 0.0844 0.7138
Cr4 0.4968 0.3320 0.7138
O1 0.0012 0.0005 0.3151
O2 0.0076 0.1640 0.6087
O3 0.2136 0.2562 0.3418
O4 0.2461 0.0829 0.1107
O5 0.2574 0.4131 0.6080
O6 0.2805 0.2397 0.8393
O7 0.4911 0.0211 0.8420
O8 0.4938 0.1676 0.6062
```